No. 1
Diffraction record for AgAsO3. The X-ray powder pattern is calculated, not measured: it uses DFT lattice parameters and positions (GGA-PBE) and λ = 1.5418 Å (Cu Kα).
Kinematic intensities with the Lorentz-polarization factor, no thermal factor.

Atomic structure:
Unit cell a=11.1694 b=10.8302 c=5.1580 alpha=90.00 beta=102.37 gamma=90.00
Space group C2/c (No. 15)
Symmetry-distinct sites (fractional):
Ag 0.0000 0.0962 0.2500
Ag 0.0000 0.2737 0.7500
As 0.2107 0.4113 0.2706
O 0.1319 0.2833 0.1576
O 0.1349 0.0892 0.6731
O 0.1534 0.4575 0.5586

Most intense lines, 5 to 70 degrees two-theta, in order of rising 2θ:
hkl  2θ (°)  intensity
2 2 0  23.1  41
3 1 0  25.8  53
2 2 -1  27.0  100
1 3 -1  30.5  77
2 2 1  31.3  69
4 0 0  32.8  21
0 0 2  35.6  51
1 5 0  42.6  21
5 3 -1  48.8  33
5 3 1  55.5  32

---

No. 2
Diffraction record for AgAsO2. The X-ray powder pattern is calculated, not measured: it uses DFT lattice parameters and positions (GGA-PBE) and λ = 1.5418 Å (Cu Kα).
Kinematic intensities with the Lorentz-polarization factor, no thermal factor.

Atomic structure:
Unit cell a=9.5018 b=4.5979 c=6.9150 alpha=90.00 beta=111.23 gamma=90.00
Space group C2 (No. 5)
Symmetry-distinct sites (fractional):
Ag 0.1167 0.0000 0.3282
As 0.1654 0.9435 0.8322
O 0.2128 0.5602 0.9031
O 0.2260 0.4963 0.3198

Most intense lines, 5 to 70 degrees two-theta, in order of rising 2θ:
hkl  2θ (°)  intensity
1 1 0  21.8  100
2 0 -2  27.7  75
1 1 -2  32.4  68
3 1 -1  34.5  18
3 1 0  36.2  32
0 2 0  39.2  34
2 0 2  40.2  38
2 2 -2  48.7  24
2 0 -4  53.0  46
2 2 2  57.4  21

---

No. 3
Diffraction record for ZnAgAsO5. The X-ray powder pattern is calculated, not measured: it uses DFT lattice parameters and positions (GGA-PBE) and λ = 1.5418 Å (Cu Kα).
Kinematic intensities with the Lorentz-polarization factor, no thermal factor.

Atomic structure:
Unit cell a=6.2858 b=8.0027 c=9.2893 alpha=90.00 beta=90.00 gamma=90.00
Space group P2_12_12_1 (No. 19)
Symmetry-distinct sites (fractional):
Zn 0.0179 0.2164 0.1939
Ag 0.2492 0.7493 0.0033
As 0.0210 0.3860 0.8620
O 0.0019 0.3486 0.3848
O 0.0017 0.5783 0.9596
O 0.0425 0.2312 0.9857
O 0.1977 0.8779 0.7470
O 0.2438 0.3982 0.7558

Most intense lines, 5 to 70 degrees two-theta, in order of rising 2θ:
hkl  2θ (°)  intensity
0 1 1  14.6  36
0 2 0  22.2  100
0 2 1  24.2  40
1 2 1  28.1  27
0 1 3  31.0  76
2 1 1  32.1  92
2 0 2  34.5  19
2 2 2  41.4  43
2 3 1  45.7  19
2 0 4  48.8  29